No. 1
AlRhO3: theoretical X-ray diffraction stick pattern (Cu Kα (weighted mean of Kα1 and Kα2)), based on a crystal structure in the Materials Project, relaxed with PBE.

Structural model:
```
AlRhO3
1.0
3.151 0.000 0.000
-1.576 2.729 0.000
0.000 0.000 11.885
Al Rh O
2 2 6
Cartesian
0.000 1.819 2.971
1.576 0.910 8.914
0.000 0.000 0.000
0.000 0.000 5.943
0.000 0.000 2.971
0.000 0.000 8.914
0.000 1.819 1.024
0.000 1.819 4.918
1.576 0.910 6.967
1.576 0.910 10.861
```

The 12 most intense peaks (2θ = 5–70°), sorted by position:
index, 2θ (°), I_rel
0 0 2, 14.91, 97
0 0 4, 30.08, 53
1 0 0, 32.82, 62
1 0 1, 33.69, 20
1 0 2, 36.22, 100
1 0 4, 45.11, 80
1 0 6, 57.49, 40
1 1 0, 58.58, 40
1 1 2, 60.82, 15
0 0 8, 62.52, 7
1 1 4, 67.25, 30
2 0 0, 68.80, 7

=====

No. 2
AlSO10: theoretical X-ray diffraction stick pattern (Cu Kα (weighted mean of Kα1 and Kα2)), based on a crystal structure in the Materials Project, relaxed with PBE.

Structural model:
```
AlSO10
1.0
7.940 0.000 0.000
0.000 10.496 0.000
-6.141 0.000 8.560
Al S O
4 4 40
Cartesian
-1.140 0.193 3.357
-4.211 5.055 7.637
6.010 5.441 0.923
2.939 10.303 5.203
-4.572 2.097 7.216
-1.502 3.151 2.936
3.301 7.345 5.624
6.371 8.398 1.344
-1.416 1.668 2.438
-4.487 3.580 6.718
-5.574 2.020 8.250
-2.503 3.228 3.970
-2.490 0.101 4.645
0.580 5.147 0.365
-4.101 6.634 6.902
-1.031 9.109 2.622
-3.253 1.605 7.513
-0.183 3.643 3.233
-0.947 6.413 4.802
2.124 9.331 0.522
-1.327 5.803 5.787
1.743 9.940 1.507
1.688 6.931 2.132
-1.383 8.812 6.412
0.442 0.518 4.278
-2.629 4.730 8.558
2.004 2.010 2.203
-1.067 3.238 6.483
2.866 7.258 2.077
-0.205 8.486 6.357
4.428 5.766 0.002
1.357 9.978 4.282
3.182 1.684 2.148
0.111 3.564 6.428
0.056 0.555 7.054
3.126 4.692 2.774
-0.325 1.165 8.038
2.746 4.083 3.758
1.982 6.853 5.327
5.052 8.891 1.047
2.830 1.386 5.938
5.900 3.862 1.658
1.219 5.349 8.195
4.289 10.395 3.915
4.302 7.268 4.590
7.373 8.476 0.310
6.286 6.916 1.842
3.215 8.827 6.122
```

The 12 most intense peaks (2θ = 5–70°), sorted by position:
index, 2θ (°), I_rel
0 1 1, 13.35, 36
1 0 0, 13.73, 52
1 1 -2, 18.92, 25
0 1 2, 22.43, 89
2 0 -2, 22.89, 100
0 2 2, 26.88, 39
0 3 1, 27.54, 94
2 1 0, 28.98, 27
1 3 1, 33.59, 26
2 0 -4, 34.21, 38
1 4 -1, 36.13, 61
3 1 -1, 37.70, 24

=====

No. 3
AlSO10: theoretical X-ray diffraction stick pattern (Cu Kα (weighted mean of Kα1 and Kα2)), based on a crystal structure in the Materials Project, relaxed with PBE.

Structural model:
```
AlSO10
1.0
8.214 0.000 0.000
0.000 11.083 0.000
-5.894 0.000 8.811
Al S O
4 4 40
Cartesian
-0.025 0.268 1.627
-2.972 5.274 6.032
5.292 5.809 2.778
2.345 10.816 7.184
-0.640 7.714 2.149
-3.587 8.911 6.555
5.907 2.173 2.256
2.960 3.369 6.661
-0.046 7.747 0.843
-2.993 8.878 5.249
-4.039 7.362 6.973
-1.092 9.263 2.568
-0.852 1.655 2.336
-3.799 3.887 6.741
0.797 0.112 0.003
-2.150 5.430 4.409
-2.765 6.616 7.164
0.182 10.009 2.759
0.074 7.124 3.246
-2.873 9.500 7.651
-1.919 1.348 6.915
1.028 4.194 2.510
-1.204 1.101 5.944
1.743 4.441 1.539
1.875 1.174 2.149
-1.072 4.368 6.554
2.932 7.153 1.198
-0.015 9.472 5.603
2.335 1.611 3.207
-0.612 3.930 7.613
3.391 6.716 2.256
0.445 9.909 6.662
0.577 6.642 7.272
3.523 9.983 2.866
1.292 6.890 6.301
4.239 9.735 1.896
5.193 1.583 1.159
2.246 3.959 5.565
2.138 1.074 6.052
5.085 4.467 1.647
4.470 5.654 4.402
1.523 10.971 8.807
6.119 7.197 2.069
3.172 9.428 6.475
3.412 1.821 6.243
6.359 3.721 1.837
5.313 2.205 3.562
2.366 3.336 7.967
```

The 12 most intense peaks (2θ = 5–70°), sorted by position:
index, 2θ (°), I_rel
1 0 0, 12.97, 64
1 1 -1, 13.72, 32
1 1 0, 15.24, 14
0 2 1, 18.92, 16
0 0 2, 20.16, 100
1 2 -2, 23.29, 20
2 1 -2, 23.80, 68
0 3 1, 26.16, 15
1 3 -1, 26.61, 32
2 1 0, 27.35, 24
2 1 1, 33.96, 15
1 4 0, 34.96, 17